Calculated powder X-ray diffraction pattern
Compound: Fe2Co3Sb3O16
Radiation: Cu Kα (λ = 1.5418 Å)
Structure: DFT lattice parameters and positions (GGA+U)
Intensities are scaled so that the largest is 100.

Principal peaks in the range 2θ from 15° to 90°, by intensity:
- 2θ = 19.4°, 4.581 Å, rel. 100
- 2θ = 36.3°, 2.475 Å, rel. 44
- 2θ = 19.9°, 4.467 Å, rel. 37
- 2θ = 19.6°, 4.528 Å, rel. 35
- 2θ = 36.0°, 2.497 Å, rel. 32
- 2θ = 45.6°, 1.989 Å, rel. 31
- 2θ = 20.2°, 4.388 Å, rel. 26
- 2θ = 62.9°, 1.477 Å, rel. 24
- 2θ = 46.4°, 1.955 Å, rel. 23
- 2θ = 25.7°, 3.461 Å, rel. 22

Atomic structure:
```
Fe2Co3Sb3O16
1.0
5.096 -2.996 0.000
5.096 2.996 0.000
-0.311 0.000 9.161
Fe Co Sb O
2 3 3 16
direct
0.000 0.000 0.000
0.671 0.671 0.510
0.180 0.683 0.722
0.517 0.517 0.223
0.683 0.180 0.722
0.014 0.518 0.227
0.181 0.181 0.725
0.518 0.014 0.227
0.005 0.005 0.614
0.020 0.515 0.614
0.179 0.179 0.111
0.182 0.671 0.112
0.305 0.857 0.847
0.358 0.358 0.335
0.358 0.358 0.828
0.389 0.821 0.346
0.505 0.505 0.624
0.515 0.020 0.614
0.671 0.182 0.112
0.673 0.673 0.109
0.821 0.389 0.346
0.834 0.834 0.358
0.857 0.305 0.847
0.868 0.868 0.830
```